[1]
This entry pairs a crystal structure of Sr3Nd4O9 with its calculated powder diffraction line list. Radiation: Cu Ka. Structure: a DFT-relaxed cell (PBE, the Materials Project).

Peak list (10 most intense, 2θ from 10° to 90°, sorted by position)
d 4.012, I 45.2
d 3.226, I 89.3
d 3.204, I 45.3
d 3.111, I 100.0
d 3.070, I 45.4
d 3.032, I 45.3
d 2.941, I 65.9
d 2.920, I 52.8
d 2.673, I 57.2
d 2.201, I 58.8

Cell and atoms:
```
Sr3Nd4O9
1.0
7.111 0.000 0.000
-2.668 8.247 0.000
-1.695 -1.811 9.745
Sr Nd O
6 8 18
Cartesian
0.000 0.000 0.000
-0.816 0.574 3.152
-1.488 4.872 7.936
0.445 3.721 3.601
2.440 -0.468 8.899
4.587 2.486 5.868
-0.453 1.409 9.435
-0.176 6.887 5.225
1.589 6.225 1.808
1.350 3.401 6.838
3.023 1.766 2.791
5.054 4.598 0.078
3.019 6.991 6.282
4.451 5.199 3.564
-2.394 7.327 4.773
0.040 -1.058 8.205
-1.061 4.710 5.501
-0.691 2.508 7.378
1.009 1.406 1.763
0.269 5.313 0.234
-0.229 6.038 3.145
2.054 2.347 4.927
2.522 3.872 1.862
1.743 1.828 8.546
0.869 6.163 7.403
4.392 0.266 1.434
2.401 5.440 4.649
4.396 0.198 5.028
4.034 6.353 1.547
3.344 4.104 7.925
5.140 2.898 3.369
4.446 0.739 9.363
```

=====

[2]
This entry pairs a crystal structure of Na2Al2Si3H4O12 with its calculated powder diffraction line list. Radiation: Cu Ka. Structure: a DFT-relaxed cell (PBE, the Materials Project).

Peak list (10 most intense, 2θ from 10° to 90°, sorted by position)
d 7.853, I 57.0
d 6.170, I 49.2
d 5.247, I 73.9
d 5.219, I 53.4
d 5.071, I 57.2
d 4.927, I 81.5
d 4.249, I 100.0
d 4.094, I 39.4
d 3.566, I 53.2
d 3.456, I 63.2

Cell and atoms:
```
Na2Al2Si3H4O12
1.0
8.080 0.000 0.000
-0.982 8.404 0.000
-1.547 -2.233 8.520
Na Al Si H O
4 4 6 8 24
Cartesian
0.000 0.000 0.000
-1.333 3.643 4.357
1.130 1.062 3.329
4.097 3.139 2.636
0.030 3.014 0.999
2.416 4.622 7.881
6.495 0.302 2.436
6.206 5.615 1.165
1.181 -0.441 8.067
1.863 4.961 4.641
3.442 -0.167 0.671
3.571 1.531 8.030
3.763 6.591 5.844
6.368 0.803 5.241
-1.073 2.305 7.528
-0.021 6.147 5.058
0.765 3.638 6.283
1.820 7.405 2.686
2.167 -0.854 6.019
4.645 0.582 1.189
3.731 1.305 6.592
5.471 5.445 3.330
-0.823 0.093 4.072
-1.052 1.949 6.146
-0.255 5.929 0.386
0.601 4.745 0.079
-0.327 -0.017 8.426
0.674 3.297 2.773
0.209 5.343 4.552
1.326 -0.524 6.411
2.410 -0.426 2.002
1.926 4.047 3.192
1.655 4.051 6.198
2.351 6.592 4.949
3.833 2.924 0.110
3.623 4.444 4.666
3.276 3.148 8.352
4.872 0.957 3.053
3.427 5.950 7.288
5.199 1.688 4.372
4.669 5.482 4.967
5.561 -0.441 6.036
5.670 7.271 1.451
5.767 4.790 2.663
6.444 3.643 0.434
7.469 1.507 1.674
```

=====

[3]
This entry pairs a crystal structure of Tl4CrI6 with its calculated powder diffraction line list. Radiation: Cu Ka. Structure: a DFT-relaxed cell (PBE, the Materials Project).

Peak list (10 most intense, 2θ from 10° to 90°, sorted by position)
d 4.971, I 8.8
d 3.196, I 100.0
d 2.950, I 38.9
d 2.537, I 12.2
d 2.485, I 16.9
d 2.086, I 8.0
d 2.059, I 11.4
d 1.901, I 19.5
d 1.636, I 11.1
d 1.540, I 11.7

Cell and atoms:
```
Tl4CrI6
1.0
9.330 0.000 0.000
0.000 9.330 0.000
0.000 0.000 9.942
Tl Cr I
8 2 12
Cartesian
1.387 3.277 2.485
1.387 3.277 7.456
3.277 7.942 2.485
3.277 7.942 7.456
6.052 1.387 2.485
6.052 1.387 7.456
7.942 6.052 2.485
7.942 6.052 7.456
0.000 0.000 0.000
4.665 4.665 4.971
0.000 0.000 2.743
0.000 0.000 7.199
1.266 6.591 0.000
1.926 5.931 4.971
2.739 1.266 0.000
3.399 1.926 4.971
4.665 4.665 2.228
4.665 4.665 7.714
5.931 7.404 4.971
6.591 8.064 0.000
7.404 3.399 4.971
8.064 2.739 0.000
```

=====

[4]
This entry pairs a crystal structure of SmGePt with its calculated powder diffraction line list. Radiation: Cu Ka. Structure: a DFT-relaxed cell (PBE, the Materials Project).

Peak list (10 most intense, 2θ from 10° to 90°, sorted by position)
d 3.759, I 33.0
d 2.723, I 82.6
d 2.671, I 43.7
d 2.635, I 83.5
d 2.618, I 99.4
d 2.444, I 26.6
d 2.286, I 23.2
d 2.247, I 100.0
d 2.203, I 65.4
d 1.636, I 24.4

Cell and atoms:
```
SmGePt
1.0
5.283 -2.203 0.000
5.283 2.203 0.000
-4.834 0.000 5.343
Sm Ge Pt
2 2 2
Cartesian
-0.999 0.000 1.661
6.730 0.000 3.682
-0.796 0.000 4.830
6.528 0.000 0.512
2.034 0.000 1.493
3.697 0.000 3.850
```

=====

[5]
This entry pairs a crystal structure of Ti3SiC2 with its calculated powder diffraction line list. Radiation: Cu Ka. Structure: a DFT-relaxed cell (PBE, the Materials Project).

Peak list (10 most intense, 2θ from 10° to 90°, sorted by position)
d 2.634, I 28.6
d 2.428, I 6.4
d 2.283, I 100.0
d 2.217, I 19.7
d 2.130, I 38.2
d 1.584, I 15.7
d 1.538, I 29.6
d 1.292, I 10.0
d 1.275, I 13.2
d 1.263, I 17.3

Cell and atoms:
```
Ti3SiC2
1.0
3.075 0.000 0.000
-1.538 2.663 0.000
0.000 0.000 17.736
Ti Si C
6 2 4
Cartesian
0.000 0.000 0.000
0.000 0.000 8.868
0.000 1.775 2.392
0.000 1.775 6.476
1.538 0.888 11.260
1.538 0.888 15.343
0.000 0.000 4.434
0.000 0.000 13.302
0.000 1.775 10.150
0.000 1.775 16.454
1.538 0.888 1.282
1.538 0.888 7.586
```

=====

[6]
This entry pairs a crystal structure of LiPH4CO3 with its calculated powder diffraction line list. Radiation: Cu Ka. Structure: a DFT-relaxed cell (PBE, the Materials Project).

Peak list (10 most intense, 2θ from 10° to 90°, sorted by position)
d 4.783, I 55.7
d 4.676, I 74.6
d 4.459, I 27.5
d 4.201, I 100.0
d 4.082, I 65.6
d 3.542, I 70.8
d 3.347, I 35.1
d 3.205, I 74.7
d 2.752, I 24.5
d 2.630, I 56.7

Cell and atoms:
```
LiPH4CO3
1.0
9.408 0.000 0.000
0.000 4.686 0.000
-1.046 0.000 9.566
Li P H C O
4 4 16 4 12
Cartesian
-0.064 0.474 1.334
-0.587 1.869 6.117
8.950 2.817 3.448
8.427 4.212 8.231
1.458 0.474 4.044
0.935 1.868 8.827
7.427 2.817 0.739
6.904 4.211 5.522
1.560 3.186 5.016
2.083 3.843 0.233
2.335 0.619 7.324
2.858 1.724 2.542
3.501 0.087 2.840
2.978 2.256 7.623
3.178 0.993 8.864
3.701 1.350 4.082
4.662 3.336 5.484
5.184 3.693 0.701
5.385 2.430 1.943
4.862 4.599 6.725
5.504 2.962 7.024
6.027 4.067 2.241
6.280 0.843 9.332
6.803 1.500 4.549
3.027 0.957 3.307
2.504 1.386 8.090
5.858 3.300 1.475
5.336 3.729 6.258
0.036 2.569 7.811
0.559 4.460 3.029
0.309 0.610 9.455
0.832 1.733 4.672
2.353 2.890 0.434
1.830 4.139 5.216
6.532 0.547 4.349
6.010 1.796 9.132
7.531 2.953 4.893
8.053 4.076 0.111
7.804 0.226 6.537
8.327 2.117 1.754
```

=====

[7]
This entry pairs a crystal structure of RbLaMg6O8 with its calculated powder diffraction line list. Radiation: Cu Ka. Structure: a DFT-relaxed cell (PBE, the Materials Project).

Peak list (10 most intense, 2θ from 10° to 90°, sorted by position)
d 4.717, I 67.9
d 4.688, I 35.6
d 3.329, I 87.9
d 2.718, I 65.6
d 2.359, I 100.0
d 2.344, I 45.3
d 2.108, I 33.8
d 1.668, I 31.3
d 1.663, I 57.0
d 1.359, I 27.1

Cell and atoms:
```
RbLaMg6O8
1.0
4.717 0.000 0.000
0.000 4.717 0.000
0.000 0.000 9.377
Rb La Mg O
1 1 6 8
Cartesian
0.000 0.000 0.000
0.000 0.000 4.688
0.000 2.359 2.114
0.000 2.359 7.263
2.359 0.000 2.114
2.359 0.000 7.263
2.359 2.359 0.000
2.359 2.359 4.688
0.000 0.000 2.437
0.000 0.000 6.940
0.000 2.359 0.000
0.000 2.359 4.688
2.359 0.000 0.000
2.359 0.000 4.688
2.359 2.359 2.316
2.359 2.359 7.061
```

=====

[8]
This entry pairs a crystal structure of Mg2Ti3CrS8 with its calculated powder diffraction line list. Radiation: Cu Ka. Structure: a DFT-relaxed cell (PBE, the Materials Project).

Peak list (10 most intense, 2θ from 10° to 90°, sorted by position)
d 5.933, I 49.7
d 3.154, I 17.0
d 3.112, I 36.1
d 3.092, I 14.5
d 2.585, I 100.0
d 1.988, I 21.8
d 1.845, I 51.1
d 1.811, I 46.6
d 1.483, I 13.3
d 1.292, I 13.3

Cell and atoms:
```
Mg2Ti3CrS8
1.0
6.276 -3.621 0.000
6.276 3.621 0.000
-4.194 0.000 6.081
Mg Ti Cr S
2 3 1 8
Cartesian
0.000 0.000 0.000
8.368 0.000 1.497
2.087 0.000 3.791
5.226 1.811 3.790
5.226 -1.811 3.790
4.187 0.000 0.751
-0.002 0.000 2.431
-1.901 0.000 5.265
0.938 1.638 5.266
3.234 1.642 2.314
0.938 -1.638 5.266
3.234 -1.642 2.314
6.074 0.000 2.314
4.178 0.000 5.148
```